# 1
Computed powder XRD pattern
Compound: ErPaRu3
Radiation: Cu Kα, 1.54184 Å
Structure: DFT lattice parameters and positions (PBE)

```
10
Lattice="-2.912 3.754 4.419 2.912 -3.754 4.419 2.912 3.754 -4.419" Properties=species:S:1:pos:R:3 pbc="T T T"
Er 0.000 1.877 0.086
Er 2.912 1.877 4.332
Pa 2.912 0.000 0.000
Pa 0.000 0.000 4.419
Ru 2.912 1.877 -1.746
Ru 1.456 4.225 -2.209
Ru 1.456 0.470 2.209
Ru -1.456 3.284 2.209
Ru 1.456 3.284 2.209
Ru 0.000 1.877 6.165
```

The 8 most intense peaks (2θ from 10° to 90°), in order of rising 2θ:
30.07 deg, I 100
36.97 deg, I 60
37.34 deg, I 17
40.84 deg, I 33
41.96 deg, I 72
44.39 deg, I 25
54.20 deg, I 22
62.41 deg, I 23

=====

# 2
Computed powder XRD pattern
Compound: Ac12PrNd6
Radiation: Cu Kα, 1.54184 Å
Structure: DFT lattice parameters and positions (PBE)

```
19
Lattice="7.961 4.596 3.744 -7.961 4.596 3.744 0.000 -9.192 3.744" Properties=species:S:1:pos:R:3 pbc="T T T"
Ac -1.193 -5.773 4.583
Ac -5.596 -1.853 6.650
Ac -2.334 -2.241 4.702
Ac -4.403 3.920 4.583
Ac -3.108 0.901 6.532
Ac -0.774 3.142 4.702
Ac 0.774 -3.142 6.532
Ac 3.108 -0.901 4.702
Ac 4.403 -3.920 6.650
Ac 2.334 2.241 6.532
Ac 5.596 1.853 4.583
Ac 1.193 5.773 6.650
Pr 0.000 0.000 0.000
Nd -3.001 0.702 2.742
Nd 0.892 -2.950 2.742
Nd 2.108 2.248 2.742
Nd -2.108 -2.248 8.492
Nd -0.892 2.950 8.492
Nd 3.001 -0.702 8.492
```

The 8 most intense peaks (2θ from 10° to 90°), in order of rising 2θ:
19.31 deg, I 14
26.30 deg, I 41
29.69 deg, I 100
30.80 deg, I 57
32.84 deg, I 35
47.82 deg, I 23
56.02 deg, I 16
58.02 deg, I 26

=====

# 3
Computed powder XRD pattern
Compound: BaMgZnSn2
Radiation: Cu Kα, 1.54184 Å
Structure: DFT lattice parameters and positions (PBE)

```
10
Lattice="4.870 0.000 0.000 0.000 4.870 0.000 0.000 0.000 11.937" Properties=species:S:1:pos:R:3 pbc="T T T"
Ba 0.000 0.000 0.000
Ba 2.435 2.435 5.969
Mg 0.000 2.435 2.984
Mg 2.435 0.000 8.953
Zn 0.000 2.435 8.953
Zn 2.435 0.000 2.984
Sn 0.000 0.000 4.507
Sn 0.000 0.000 7.430
Sn 2.435 2.435 1.462
Sn 2.435 2.435 10.476
```

The 8 most intense peaks (2θ from 10° to 90°), in order of rising 2θ:
25.87 deg, I 57
28.98 deg, I 100
29.96 deg, I 58
36.91 deg, I 66
42.15 deg, I 45
47.60 deg, I 51
53.19 deg, I 32
57.26 deg, I 36

=====

# 4
Computed powder XRD pattern
Compound: Na3Pu3GaSe8
Radiation: Cu Kα, 1.54184 Å
Structure: DFT lattice parameters and positions (PBE)

```
15
Lattice="4.128 2.383 6.976 -4.128 2.383 6.976 0.000 -4.767 6.976" Properties=species:S:1:pos:R:3 pbc="T T T"
Na -2.064 -1.192 6.976
Na -2.064 1.192 13.952
Na 0.000 2.383 6.976
Pu -4.128 0.000 10.464
Pu -2.064 1.192 3.488
Pu 2.064 1.192 3.488
Ga 0.000 0.000 10.464
Se 0.000 0.000 5.092
Se -1.959 -1.131 11.963
Se 0.000 -2.262 8.965
Se -1.959 1.131 8.965
Se 1.959 -1.131 11.963
Se 0.000 2.262 11.963
Se 1.959 1.131 8.965
Se 0.000 0.000 15.836
```

The 8 most intense peaks (2θ from 10° to 90°), in order of rising 2θ:
12.69 deg, I 80
25.27 deg, I 32
30.28 deg, I 100
39.28 deg, I 23
42.83 deg, I 35
43.86 deg, I 37
45.85 deg, I 21
54.22 deg, I 19

=====

# 5
Computed powder XRD pattern
Compound: VZn3Pt4
Radiation: Cu Kα, 1.54184 Å
Structure: DFT lattice parameters and positions (PBE)

```
8
Lattice="2.824 0.000 0.000 0.000 2.824 0.000 0.000 0.000 14.609" Properties=species:S:1:pos:R:3 pbc="T T T"
V 0.000 0.000 0.000
Zn 0.000 0.000 3.689
Zn 0.000 0.000 7.304
Zn 0.000 0.000 10.920
Pt 1.412 1.412 1.801
Pt 1.412 1.412 5.492
Pt 1.412 1.412 9.117
Pt 1.412 1.412 12.808
```

The 8 most intense peaks (2θ from 10° to 90°), in order of rising 2θ:
24.37 deg, I 22
31.68 deg, I 23
40.37 deg, I 100
45.41 deg, I 36
49.94 deg, I 13
69.78 deg, I 20
80.45 deg, I 27
87.23 deg, I 22

=====

# 6
Computed powder XRD pattern
Compound: Tm6AlTe3P2
Radiation: Cu Kα, 1.54184 Å
Structure: DFT lattice parameters and positions (PBE)

```
12
Lattice="9.181 -2.035 0.000 9.181 2.035 0.000 -2.202 0.000 8.265" Properties=species:S:1:pos:R:3 pbc="T T T"
Tm -0.358 0.000 2.015
Tm 4.981 0.000 3.620
Tm 4.231 0.000 7.355
Tm 11.929 0.000 0.910
Tm 11.179 0.000 4.645
Tm 16.518 0.000 6.250
Al 9.181 0.000 0.000
Te 1.226 0.000 6.868
Te 8.080 0.000 4.132
Te 14.934 0.000 1.397
P 2.351 0.000 2.795
P 13.809 0.000 5.470
```

The 8 most intense peaks (2θ from 10° to 90°), in order of rising 2θ:
26.59 deg, I 19
30.22 deg, I 50
30.32 deg, I 100
42.94 deg, I 33
43.74 deg, I 38
44.53 deg, I 18
54.76 deg, I 19
63.04 deg, I 17